Diffraction record for K4CdP6O20. The powder X-ray diffraction pattern is theoretical, not measured: it uses a crystal structure in the Materials Project, relaxed with PBE and Cu Kα X-rays.

Structure:
abc: 7.1740 7.7921 9.1902
angles: 102.00 103.54 95.06
Positions (direct):
1 K 0.2142 0.0028 0.3841
2 K 0.2361 0.2466 0.9714
3 K 0.7639 0.7534 0.0286
4 K 0.7858 0.9972 0.6159
5 Cd 0.5000 0.5000 0.5000
6 P 0.0194 0.4709 0.2731
7 P 0.2705 0.8035 0.6947
8 P 0.2742 0.7635 0.0066
9 P 0.7258 0.2365 0.9934
10 P 0.7295 0.1965 0.3053
11 P 0.9806 0.5291 0.7269
12 O 0.0013 0.6638 0.2957
13 O 0.0763 0.6292 0.9069
14 O 0.1211 0.6194 0.6408
15 O 0.1659 0.9607 0.6918
16 O 0.2135 0.9296 0.0842
17 O 0.2164 0.4115 0.3114
18 O 0.3722 0.3168 0.6333
19 O 0.3755 0.7998 0.8711
20 O 0.4062 0.6591 0.0945
21 O 0.4190 0.7779 0.6025
22 O 0.5810 0.2221 0.3975
23 O 0.5938 0.3409 0.9055
24 O 0.6245 0.2002 0.1289
25 O 0.6278 0.6832 0.3667
26 O 0.7836 0.5885 0.6886
27 O 0.7865 0.0704 0.9158
28 O 0.8341 0.0393 0.3082
29 O 0.8789 0.3806 0.3592
30 O 0.9237 0.3708 0.0931
31 O 0.9987 0.3362 0.7043

Main lines, in order of rising 2θ (10 to 90 degrees two-theta):
- 2θ = 11.73°, rel. 66
- 2θ = 13.61°, rel. 100
- 2θ = 21.17°, rel. 62
- 2θ = 23.39°, rel. 73
- 2θ = 27.93°, rel. 70
- 2θ = 28.12°, rel. 70
- 2θ = 29.99°, rel. 80
- 2θ = 30.23°, rel. 68

Diffraction record for K2CdP2O7. The powder X-ray diffraction pattern is theoretical, not measured: it uses a crystal structure in the Materials Project, relaxed with PBE and Cu Kα X-rays.

Structure:
abc: 5.7007 5.7007 13.0023
angles: 104.39 104.39 59.34
Positions (direct):
1 K 0.0595 0.6423 0.8316
2 K 0.3577 0.9405 0.6684
3 K 0.6423 0.0595 0.3316
4 K 0.9405 0.3577 0.1684
5 Cd 0.0000 0.5000 0.5000
6 Cd 0.5000 0.0000 0.0000
7 P 0.2551 0.6893 0.1302
8 P 0.3107 0.7449 0.3698
9 P 0.6893 0.2551 0.6302
10 P 0.7449 0.3107 0.8698
11 O 0.0164 0.2090 0.9451
12 O 0.1574 0.8426 0.2500
13 O 0.1996 0.5560 0.3791
14 O 0.2090 0.0164 0.4451
15 O 0.3777 0.4119 0.6347
16 O 0.4119 0.3777 0.1347
17 O 0.4440 0.8004 0.1209
18 O 0.5560 0.1996 0.8791
19 O 0.5881 0.6223 0.8653
20 O 0.6223 0.5881 0.3653
21 O 0.7910 0.9836 0.5549
22 O 0.8004 0.4440 0.6209
23 O 0.8426 0.1574 0.7500
24 O 0.9836 0.7910 0.0549

Main lines, in order of rising 2θ (10 to 90 degrees two-theta):
- 2θ = 14.22°, rel. 29
- 2θ = 20.60°, rel. 67
- 2θ = 26.13°, rel. 32
- 2θ = 29.46°, rel. 57
- 2θ = 30.31°, rel. 86
- 2θ = 31.40°, rel. 100
- 2θ = 31.71°, rel. 41
- 2θ = 41.90°, rel. 32

Please write out number 2 again, unchanged.
Diffraction record for K2CdP2O7. The powder X-ray diffraction pattern is theoretical, not measured: it uses a crystal structure in the Materials Project, relaxed with PBE and Cu Kα X-rays.

Structure:
abc: 5.7007 5.7007 13.0023
angles: 104.39 104.39 59.34
Positions (direct):
1 K 0.0595 0.6423 0.8316
2 K 0.3577 0.9405 0.6684
3 K 0.6423 0.0595 0.3316
4 K 0.9405 0.3577 0.1684
5 Cd 0.0000 0.5000 0.5000
6 Cd 0.5000 0.0000 0.0000
7 P 0.2551 0.6893 0.1302
8 P 0.3107 0.7449 0.3698
9 P 0.6893 0.2551 0.6302
10 P 0.7449 0.3107 0.8698
11 O 0.0164 0.2090 0.9451
12 O 0.1574 0.8426 0.2500
13 O 0.1996 0.5560 0.3791
14 O 0.2090 0.0164 0.4451
15 O 0.3777 0.4119 0.6347
16 O 0.4119 0.3777 0.1347
17 O 0.4440 0.8004 0.1209
18 O 0.5560 0.1996 0.8791
19 O 0.5881 0.6223 0.8653
20 O 0.6223 0.5881 0.3653
21 O 0.7910 0.9836 0.5549
22 O 0.8004 0.4440 0.6209
23 O 0.8426 0.1574 0.7500
24 O 0.9836 0.7910 0.0549

Main lines, in order of rising 2θ (10 to 90 degrees two-theta):
- 2θ = 14.22°, rel. 29
- 2θ = 20.60°, rel. 67
- 2θ = 26.13°, rel. 32
- 2θ = 29.46°, rel. 57
- 2θ = 30.31°, rel. 86
- 2θ = 31.40°, rel. 100
- 2θ = 31.71°, rel. 41
- 2θ = 41.90°, rel. 32

What did the second record say?
Diffraction record for K2CdP2O7. The powder X-ray diffraction pattern is theoretical, not measured: it uses a crystal structure in the Materials Project, relaxed with PBE and Cu Kα X-rays.

Structure:
abc: 5.7007 5.7007 13.0023
angles: 104.39 104.39 59.34
Positions (direct):
1 K 0.0595 0.6423 0.8316
2 K 0.3577 0.9405 0.6684
3 K 0.6423 0.0595 0.3316
4 K 0.9405 0.3577 0.1684
5 Cd 0.0000 0.5000 0.5000
6 Cd 0.5000 0.0000 0.0000
7 P 0.2551 0.6893 0.1302
8 P 0.3107 0.7449 0.3698
9 P 0.6893 0.2551 0.6302
10 P 0.7449 0.3107 0.8698
11 O 0.0164 0.2090 0.9451
12 O 0.1574 0.8426 0.2500
13 O 0.1996 0.5560 0.3791
14 O 0.2090 0.0164 0.4451
15 O 0.3777 0.4119 0.6347
16 O 0.4119 0.3777 0.1347
17 O 0.4440 0.8004 0.1209
18 O 0.5560 0.1996 0.8791
19 O 0.5881 0.6223 0.8653
20 O 0.6223 0.5881 0.3653
21 O 0.7910 0.9836 0.5549
22 O 0.8004 0.4440 0.6209
23 O 0.8426 0.1574 0.7500
24 O 0.9836 0.7910 0.0549

Main lines, in order of rising 2θ (10 to 90 degrees two-theta):
- 2θ = 14.22°, rel. 29
- 2θ = 20.60°, rel. 67
- 2θ = 26.13°, rel. 32
- 2θ = 29.46°, rel. 57
- 2θ = 30.31°, rel. 86
- 2θ = 31.40°, rel. 100
- 2θ = 31.71°, rel. 41
- 2θ = 41.90°, rel. 32